Record 1
# HfBe3Co4
Simulated powder X-ray diffraction pattern, a wavelength of 1.5418 Å. Input: a PBE-relaxed structure.

Cell and atoms:
Lattice parameters (Å, degrees): 3.8651 3.8651 5.6430 90.00 90.00 90.00
Space group P4/mmm (No. 123)
Inequivalent atoms, fractional coordinates:
Hf1 0.0000 0.0000 0.0000 (multiplicity 1)
Be1 0.0000 0.0000 0.5000 (multiplicity 1)
Be2 0.5000 0.5000 0.0000 (multiplicity 1)
Be3 0.5000 0.5000 0.5000 (multiplicity 1)
Co1 0.0000 0.5000 0.2824 (multiplicity 4)

Main lines, by angle (2θ = 10–90°):
- 15.70°, d = 5.643 Å, intensity 29
- 23.01°, d = 3.865 Å, intensity 52
- 27.98°, d = 3.189 Å, intensity 64
- 36.53°, d = 2.460 Å, intensity 54
- 39.55°, d = 2.279 Å, intensity 26
- 46.25°, d = 1.963 Å, intensity 100
- 47.02°, d = 1.933 Å, intensity 52
- 55.61°, d = 1.653 Å, intensity 19
- 68.69°, d = 1.367 Å, intensity 16
- 86.85°, d = 1.122 Å, intensity 31


Record 2
# Ce5Bi5C
Simulated powder X-ray diffraction pattern, a wavelength of 1.5418 Å. Input: a PBE-relaxed structure.

Cell and atoms:
Lattice parameters (Å, degrees): 13.0097 6.1866 9.5602 90.00 116.71 90.00
Space group C2/m (No. 12)
Inequivalent atoms, fractional coordinates:
Ce1 0.0000 0.0000 0.0000 (multiplicity 2)
Ce2 0.1459 0.5000 0.8918 (multiplicity 4)
Ce3 0.1516 0.5000 0.2769 (multiplicity 4)
Bi1 0.0000 0.5000 0.5000 (multiplicity 2)
Bi2 0.1111 0.0000 0.7648 (multiplicity 4)
Bi3 0.2195 0.0000 0.3414 (multiplicity 4)
C1 0.0000 0.5000 0.0000 (multiplicity 2)

Main lines, by angle (2θ = 10–90°):
- 27.63°, d = 3.228 Å, intensity 28
- 28.34°, d = 3.149 Å, intensity 50
- 28.86°, d = 3.093 Å, intensity 100
- 31.07°, d = 2.878 Å, intensity 32
- 32.25°, d = 2.776 Å, intensity 54
- 32.73°, d = 2.736 Å, intensity 87
- 40.90°, d = 2.207 Å, intensity 38
- 42.93°, d = 2.107 Å, intensity 34
- 53.67°, d = 1.708 Å, intensity 25
- 60.08°, d = 1.540 Å, intensity 21


Record 3
# Er3Zn2Ni6
Simulated powder X-ray diffraction pattern, a wavelength of 1.5418 Å. Input: a PBE-relaxed structure.

Cell and atoms:
Lattice parameters (Å, degrees): 8.8544 8.8544 8.8544 90.00 90.00 90.00
Space group Im-3m (No. 229)
Inequivalent atoms, fractional coordinates:
Er1 0.0000 0.0000 0.2949 (multiplicity 12)
Zn1 0.2500 0.2500 0.2500 (multiplicity 8)
Ni1 0.0000 0.3392 0.3392 (multiplicity 24)

Main lines, by angle (2θ = 10–90°):
- 24.63°, d = 3.615 Å, intensity 24
- 31.96°, d = 2.800 Å, intensity 39
- 35.11°, d = 2.556 Å, intensity 43
- 38.02°, d = 2.366 Å, intensity 22
- 40.76°, d = 2.214 Å, intensity 24
- 43.36°, d = 2.087 Å, intensity 100
- 56.96°, d = 1.617 Å, intensity 22
- 64.92°, d = 1.436 Å, intensity 15
- 70.55°, d = 1.335 Å, intensity 16
- 79.55°, d = 1.205 Å, intensity 30


Record 4
# PrPt4Au8
Simulated powder X-ray diffraction pattern, a wavelength of 1.5418 Å. Input: a PBE-relaxed structure.

Cell and atoms:
Lattice parameters (Å, degrees): 9.3389 9.3389 5.6637 90.00 90.00 90.00
Space group I4/mmm (No. 139)
Inequivalent atoms, fractional coordinates:
Pr1 0.0000 0.0000 0.0000 (multiplicity 2)
Pt1 0.2500 0.2500 0.2500 (multiplicity 8)
Au1 0.0000 0.2177 0.5000 (multiplicity 8)
Au2 0.0000 0.3361 0.0000 (multiplicity 8)

Main lines, by angle (2θ = 10–90°):
- 32.83°, d = 2.728 Å, intensity 38
- 37.13°, d = 2.421 Å, intensity 62
- 38.21°, d = 2.355 Å, intensity 78
- 38.56°, d = 2.335 Å, intensity 65
- 42.03°, d = 2.150 Å, intensity 100
- 43.01°, d = 2.103 Å, intensity 26
- 43.33°, d = 2.088 Å, intensity 39
- 60.70°, d = 1.526 Å, intensity 20
- 68.83°, d = 1.364 Å, intensity 30
- 69.53°, d = 1.352 Å, intensity 26


Record 5
# Tb12Ho7Bi
Simulated powder X-ray diffraction pattern, a wavelength of 1.5418 Å. Input: a PBE-relaxed structure.

Cell and atoms:
Lattice parameters (Å, degrees): 11.9666 11.9666 17.0823 90.00 90.00 120.00
Space group R-3 (No. 148, hexagonal axes)
Inequivalent atoms, fractional coordinates:
Tb1 0.0248 0.4422 0.1755 (multiplicity 18)
Tb2 0.0419 0.8620 0.8389 (multiplicity 18)
Ho1 0.0000 0.0000 0.0000 (multiplicity 3)
Ho2 0.0176 0.8288 0.3250 (multiplicity 18)
Bi1 0.0000 0.0000 0.5000 (multiplicity 3)

Main lines, by angle (2θ = 10–90°):
- 15.56°, d = 5.694 Å, intensity 21
- 23.30°, d = 3.818 Å, intensity 15
- 25.01°, d = 3.560 Å, intensity 24
- 31.42°, d = 2.847 Å, intensity 44
- 31.56°, d = 2.834 Å, intensity 17
- 32.88°, d = 2.724 Å, intensity 100
- 37.73°, d = 2.385 Å, intensity 69
- 53.46°, d = 1.714 Å, intensity 22
- 55.36°, d = 1.659 Å, intensity 17
- 65.05°, d = 1.434 Å, intensity 20


Record 6
# Pa2TaZn16
Simulated powder X-ray diffraction pattern, a wavelength of 1.5418 Å. Input: a PBE-relaxed structure.

Cell and atoms:
Lattice parameters (Å, degrees): 9.0225 9.0225 13.2084 90.00 90.00 120.00
Space group R3m (No. 160, hexagonal axes)
Inequivalent atoms, fractional coordinates:
Pa1 0.0000 0.0000 0.0000 (multiplicity 3)
Pa2 0.0000 0.0000 0.3304 (multiplicity 3)
Ta1 0.0000 0.0000 0.5542 (multiplicity 3)
Zn1 0.0000 0.0000 0.7658 (multiplicity 3)
Zn2 0.0004 0.2912 0.6551 (multiplicity 18)
Zn3 0.0031 0.5016 0.8020 (multiplicity 9)
Zn4 0.1695 0.3389 0.4899 (multiplicity 9)
Zn5 0.1759 0.3517 0.8405 (multiplicity 9)

Main lines, by angle (2θ = 10–90°):
- 19.68°, d = 4.511 Å, intensity 30
- 28.32°, d = 3.151 Å, intensity 39
- 34.43°, d = 2.605 Å, intensity 65
- 35.60°, d = 2.522 Å, intensity 43
- 39.97°, d = 2.256 Å, intensity 84
- 40.23°, d = 2.242 Å, intensity 100
- 41.00°, d = 2.201 Å, intensity 59
- 41.25°, d = 2.188 Å, intensity 37
- 58.59°, d = 1.575 Å, intensity 28
- 74.16°, d = 1.279 Å, intensity 28


Q: Number 5 is which compound?
A: Tb12Ho7Bi